# 1
The following is a computed XRD peak list of Ac2PmYS4. It was derived from a GGA-PBE-relaxed structure, using Cu Kα.
Intensities are scaled so that the largest is 100.

Crystal structure
```
Ac2PmYS4
1.0
7.0896 0.0000 0.0000
0.0000 4.0638 0.0000
-2.3396 0.0000 6.9672
Ac Pm Y S
2 1 1 4
Cartesian
0.0000 0.0000 0.0000
3.5448 2.0319 0.0000
-1.1698 2.0319 3.4836
2.3750 0.0000 3.4836
0.0544 0.0000 5.0623
1.2278 2.0319 1.9306
3.5221 2.0319 5.0366
4.6956 0.0000 1.9049
```

The 10 most intense peaks (10° ≤ 2θ ≤ 90°), in order of falling intensity:
Position (°2θ)  Rel. int.
30.55  100
26.70  42
25.56  27
43.13  25
44.34  24
26.53  21
52.59  14
63.59  13
55.00  13
42.93  13

# 2
The following is a computed XRD peak list of Cs3In4Au4. It was derived from a GGA-PBE-relaxed structure, using Cu Kα.
Intensities are scaled so that the largest is 100.

Crystal structure
```
Cs3In4Au4
1.0
-4.5134 4.5134 4.5134
4.5134 -4.5134 4.5134
4.5134 4.5134 -4.5134
Cs In Au
3 4 4
Cartesian
4.5134 0.0000 0.0000
0.0000 4.5134 0.0000
0.0000 0.0000 4.5134
1.2462 1.2462 -1.2462
1.2462 -1.2462 1.2462
-1.2462 1.2462 1.2462
3.2672 3.2672 3.2672
2.8841 2.8841 -2.8841
2.8841 -2.8841 2.8841
1.6293 1.6293 1.6293
-2.8841 2.8841 2.8841
```

The 10 most intense peaks (10° ≤ 2θ ≤ 90°), in order of falling intensity:
Position (°2θ)  Rel. int.
31.34  100
42.49  76
27.96  70
24.15  43
37.27  29
13.87  29
47.23  28
77.74  23
61.65  23
59.73  22

# 3
The following is a computed XRD peak list of HRuPt. It was derived from a GGA-PBE-relaxed structure, using Cu Kα.
Intensities are scaled so that the largest is 100.

Crystal structure
```
HRuPt
1.0
6.4314 -2.3800 0.0000
6.4314 2.3800 0.0000
-5.0047 0.0000 6.7941
H Ru Pt
6 6 6
Cartesian
1.9401 1.1207 1.9913
3.9291 2.1167 3.3971
8.0494 1.2363 1.1101
-0.5622 -1.1207 5.3884
6.4314 -2.1167 0.0000
5.5470 -1.2363 4.5072
0.0462 0.5913 6.1185
2.4457 0.6465 4.9609
4.8804 0.5829 3.8080
2.5486 -0.5913 2.7215
4.9480 -0.6465 1.5639
7.3827 -0.5829 0.4109
3.6239 1.7084 1.6173
6.3123 1.6645 1.5319
4.4359 1.1750 6.6429
1.1216 -1.7084 5.0144
3.8100 -1.6645 4.9289
6.9382 -1.1750 3.2459
```

The 10 most intense peaks (10° ≤ 2θ ≤ 90°), in order of falling intensity:
Position (°2θ)  Rel. int.
40.13  100
41.84  66
37.21  62
39.84  39
39.42  37
40.37  33
29.13  29
47.93  28
27.04  28
28.36  26